Entry 1:
Diffraction record for SrPrNiRuO6. The PXRD pattern is calculated, not measured: it uses the PBE+U geometry in Alexandria and Cu Ka.
Kinematic intensities with the Lorentz-polarization factor, no thermal factor.

Largest 10 diffraction maxima, sorted by position, 2θ = 10–90°:
2theta	I (rel.)
31.53	23
31.92	100
32.10	25
45.61	26
45.93	15
56.39	14
56.78	10
57.12	33
66.73	14
76.11	12

Structure:
```
SrPrNiRuO6
1.0
5.5767 0.0000 0.0000
0.0000 5.6752 0.0000
-5.5756 0.0000 7.9031
Sr Pr Ni Ru O
2 2 2 2 12
direct
0.0000 0.2116 0.0000
0.0000 0.7884 0.5000
0.4822 0.3013 0.5016
0.4822 0.6987 0.0016
0.7433 0.2454 0.2506
0.7433 0.7546 0.7506
0.2432 0.2480 0.7500
0.2432 0.7520 0.2500
0.0043 0.4629 0.7872
0.0043 0.5371 0.2872
0.0912 0.0377 0.2944
0.0912 0.9623 0.7944
0.4151 0.4753 0.2100
0.4151 0.5247 0.7100
0.4882 0.0504 0.7071
0.4882 0.9496 0.2071
0.5544 0.2721 0.9944
0.5544 0.7279 0.4944
0.9117 0.2363 0.5060
0.9117 0.7637 0.0060
```

=====

Entry 2:
Diffraction record for PrNiSe2O6. The PXRD pattern is calculated, not measured: it uses the PBE+U geometry in Alexandria and Cu Ka.
Kinematic intensities with the Lorentz-polarization factor, no thermal factor.

Largest 10 diffraction maxima, sorted by position, 2θ = 10–90°:
2theta	I (rel.)
20.27	30
28.17	100
32.05	52
34.35	73
45.00	22
46.38	42
55.61	21
57.81	23
61.53	22
77.53	17

Structure:
```
PrNiSe2O6
1.0
2.6105 1.5072 5.9187
-2.6105 1.5072 5.9187
0.0000 -3.0144 5.9187
Pr Ni Se O
1 1 2 6
direct
0.0000 0.0000 0.0000
0.5000 0.5000 0.5000
0.2057 0.2057 0.2057
0.7943 0.7943 0.7943
0.0740 0.7007 0.4729
0.2993 0.5271 0.9260
0.4729 0.0740 0.7007
0.5271 0.9260 0.2993
0.7007 0.4729 0.0740
0.9260 0.2993 0.5271
```

=====

Entry 3:
Diffraction record for Sr2PrNiO6. The PXRD pattern is calculated, not measured: it uses the PBE+U geometry in Alexandria and Cu Ka.
Kinematic intensities with the Lorentz-polarization factor, no thermal factor.

Largest 10 diffraction maxima, sorted by position, 2θ = 10–90°:
2theta	I (rel.)
18.53	6
21.43	5
30.49	100
35.92	7
43.66	33
54.18	39
63.45	19
72.02	18
80.19	6
88.16	21

Structure:
```
Sr2PrNiO6
1.0
0.0000 4.1464 4.1464
4.1464 0.0000 4.1464
4.1464 4.1464 0.0000
Sr Pr Ni O
2 1 1 6
direct
0.2500 0.2500 0.2500
0.7500 0.7500 0.7500
0.0000 0.0000 0.0000
0.5000 0.5000 0.5000
0.2757 0.2757 0.7243
0.2757 0.7243 0.2757
0.2757 0.7243 0.7243
0.7243 0.2757 0.2757
0.7243 0.2757 0.7243
0.7243 0.7243 0.2757
```

=====

Entry 4:
Diffraction record for Sr2Pr2TlNi2O9. The PXRD pattern is calculated, not measured: it uses the PBE+U geometry in Alexandria and Cu Ka.
Kinematic intensities with the Lorentz-polarization factor, no thermal factor.

Largest 10 diffraction maxima, sorted by position, 2θ = 10–90°:
2theta	I (rel.)
24.90	32
31.29	100
32.94	33
33.27	34
42.03	13
45.18	12
47.52	31
54.62	12
57.80	17
58.22	18

Structure:
```
Sr2Pr2TlNi2O9
1.0
0.0000 15.0488 2.7188
2.6930 0.0000 2.7188
2.6930 15.0488 0.0000
Sr Pr Tl Ni O
2 2 1 2 9
direct
0.0836 0.9164 0.0836
0.9164 0.0836 0.9164
0.2033 0.7986 0.2014
0.7986 0.2033 0.7967
0.4677 0.4677 0.5323
0.3556 0.6470 0.3530
0.6470 0.3556 0.6444
0.0388 0.0388 0.9612
0.1495 0.3525 0.1467
0.2828 0.7205 0.2795
0.3525 0.1495 0.3513
0.4420 0.5821 0.4179
0.5821 0.4420 0.5580
0.6487 0.8533 0.6475
0.7205 0.2828 0.7172
0.8533 0.6487 0.8505
```

=====

Entry 5:
Diffraction record for Pr2UNiO8. The PXRD pattern is calculated, not measured: it uses the PBE+U geometry in Alexandria and Cu Ka.
Kinematic intensities with the Lorentz-polarization factor, no thermal factor.

Largest 10 diffraction maxima, sorted by position, 2θ = 10–90°:
2theta	I (rel.)
11.85	43
24.30	32
25.08	100
27.03	93
27.96	76
30.69	51
31.35	55
32.51	30
33.84	34
46.50	36

Structure:
```
Pr2UNiO8
1.0
4.3765 0.0000 0.0000
0.6414 5.3612 0.0000
0.5649 1.1559 7.4688
Pr U Ni O
2 1 1 8
direct
0.0787 0.0224 0.2416
0.9213 0.9776 0.7584
0.5000 0.5000 0.5000
0.5000 0.5000 0.0000
0.1005 0.7267 0.5239
0.2051 0.7607 0.0092
0.4013 0.3614 0.2352
0.4021 0.1999 0.6801
0.5979 0.8001 0.3199
0.5987 0.6386 0.7648
0.7949 0.2393 0.9908
0.8995 0.2733 0.4761
```

=====

Entry 6:
Diffraction record for PrZnNi2O6. The PXRD pattern is calculated, not measured: it uses the PBE+U geometry in Alexandria and Cu Ka.
Kinematic intensities with the Lorentz-polarization factor, no thermal factor.

Largest 10 diffraction maxima, sorted by position, 2θ = 10–90°:
2theta	I (rel.)
32.89	22
33.57	100
34.37	21
48.10	14
48.31	24
59.16	13
59.50	11
60.44	11
61.05	21
70.55	11

Structure:
```
PrZnNi2O6
1.0
7.5672 0.0000 0.0000
0.0000 5.4458 0.0000
0.0000 0.0000 5.2185
Pr Zn Ni O
2 2 4 12
direct
0.0000 0.2049 0.0000
0.5000 0.7951 0.5000
0.0000 0.6994 0.4587
0.5000 0.3006 0.9587
0.2483 0.7472 0.9848
0.2517 0.2528 0.4848
0.7483 0.2528 0.4848
0.7517 0.7472 0.9848
0.0000 0.3003 0.5644
0.0000 0.7716 0.8473
0.1878 0.4909 0.2233
0.1925 0.9495 0.2929
0.3075 0.0505 0.7929
0.3122 0.5091 0.7233
0.5000 0.2284 0.3473
0.5000 0.6997 0.0644
0.6878 0.5091 0.7233
0.6925 0.0505 0.7929
0.8075 0.9495 0.2929
0.8122 0.4909 0.2233
```

=====

Entry 7:
Diffraction record for NiPt2O6. The PXRD pattern is calculated, not measured: it uses the PBE+U geometry in Alexandria and Cu Ka.
Kinematic intensities with the Lorentz-polarization factor, no thermal factor.

Largest 10 diffraction maxima, sorted by position, 2θ = 10–90°:
2theta	I (rel.)
19.69	32
20.73	56
28.74	100
34.45	75
40.55	65
45.46	29
55.56	58
58.26	27
61.71	24
87.74	16

Structure:
```
NiPt2O6
1.0
5.2069 0.0000 0.0000
-2.6034 4.5093 0.0000
0.0000 0.0000 4.2843
Ni Pt O
1 2 6
direct
0.0000 0.0000 0.0000
0.3333 0.6667 0.5000
0.6667 0.3333 0.5000
0.0000 0.3471 0.7484
0.0000 0.6529 0.2516
0.3471 0.0000 0.7484
0.3471 0.3471 0.2516
0.6529 0.0000 0.2516
0.6529 0.6529 0.7484
```

=====

Entry 8:
Diffraction record for Ni3Pt3O8. The PXRD pattern is calculated, not measured: it uses the PBE+U geometry in Alexandria and Cu Ka.
Kinematic intensities with the Lorentz-polarization factor, no thermal factor.

Largest 10 diffraction maxima, sorted by position, 2θ = 10–90°:
2theta	I (rel.)
17.39	23
28.83	16
29.33	62
33.86	31
34.29	100
54.97	18
55.26	26
59.72	21
60.83	22
86.72	15

Structure:
```
Ni3Pt3O8
1.0
3.0455 1.7583 5.1006
-3.0455 1.7583 5.1006
0.0000 -3.5166 5.1006
Ni Pt O
3 3 8
direct
0.0000 0.5000 0.5000
0.5000 0.0000 0.5000
0.5000 0.5000 0.0000
0.1346 0.1346 0.1346
0.5000 0.5000 0.5000
0.8654 0.8654 0.8654
0.2652 0.2652 0.7117
0.2652 0.7117 0.2652
0.2681 0.2681 0.2681
0.2883 0.7348 0.7348
0.7117 0.2652 0.2652
0.7319 0.7319 0.7319
0.7348 0.2883 0.7348
0.7348 0.7348 0.2883
```

=====

Entry 9:
Diffraction record for NiPt3O6. The PXRD pattern is calculated, not measured: it uses the PBE+U geometry in Alexandria and Cu Ka.
Kinematic intensities with the Lorentz-polarization factor, no thermal factor.

Largest 10 diffraction maxima, sorted by position, 2θ = 10–90°:
2theta	I (rel.)
15.14	17
30.55	100
33.18	84
35.93	24
37.50	44
50.57	15
52.91	55
61.28	15
61.83	28
66.45	22

Structure:
```
NiPt3O6
1.0
3.6096 -4.9983 0.0000
3.6096 4.9983 0.0000
0.0000 0.0000 3.2090
Ni Pt O
1 3 6
direct
0.0000 0.0000 0.0000
0.0000 0.5000 0.5000
0.5000 0.0000 0.5000
0.5000 0.5000 0.0000
0.1460 0.8540 0.5000
0.1623 0.4159 0.0000
0.4159 0.1623 0.0000
0.5841 0.8377 0.0000
0.8377 0.5841 0.0000
0.8540 0.1460 0.5000
```

=====

Entry 10:
Diffraction record for NiPt12O16. The PXRD pattern is calculated, not measured: it uses the PBE+U geometry in Alexandria and Cu Ka.
Kinematic intensities with the Lorentz-polarization factor, no thermal factor.

Largest 10 diffraction maxima, sorted by position, 2θ = 10–90°:
2theta	I (rel.)
22.01	63
22.14	33
35.01	98
35.19	46
35.32	100
35.41	44
38.55	21
38.72	22
38.83	22
55.88	66

Structure:
```
NiPt12O16
1.0
5.6925 0.0000 0.0000
0.0000 5.7436 0.0000
0.0000 0.0000 11.3247
Ni Pt O
1 12 16
direct
0.0000 0.0000 0.0000
0.0000 0.5000 0.1258
0.0000 0.5000 0.3731
0.0000 0.5000 0.6269
0.0000 0.5000 0.8742
0.2498 0.0000 0.2530
0.2498 0.0000 0.7470
0.5000 0.2519 0.0000
0.5000 0.2524 0.5000
0.5000 0.7481 0.0000
0.5000 0.7476 0.5000
0.7502 0.0000 0.2530
0.7502 0.0000 0.7470
0.2292 0.2303 0.1162
0.2292 0.2303 0.8838
0.2292 0.7697 0.1162
0.2292 0.7697 0.8838
0.2511 0.2525 0.3751
0.2511 0.2525 0.6249
0.2511 0.7475 0.3751
0.2511 0.7475 0.6249
0.7489 0.2525 0.3751
0.7489 0.2525 0.6249
0.7489 0.7475 0.3751
0.7489 0.7475 0.6249
0.7708 0.2303 0.1162
0.7708 0.2303 0.8838
0.7708 0.7697 0.1162
0.7708 0.7697 0.8838
```

=====

Entry 11:
Diffraction record for NiPtRhO6. The PXRD pattern is calculated, not measured: it uses the PBE+U geometry in Alexandria and Cu Ka.
Kinematic intensities with the Lorentz-polarization factor, no thermal factor.

Largest 10 diffraction maxima, sorted by position, 2θ = 10–90°:
2theta	I (rel.)
19.88	21
20.62	45
22.42	20
28.79	100
34.79	65
40.78	51
45.76	28
55.59	56
58.74	26
62.36	23

Structure:
```
NiPtRhO6
1.0
5.1581 0.0000 0.0000
-2.5790 4.4670 0.0000
0.0000 0.0000 8.6160
Ni Pt Rh O
2 2 2 12
direct
0.0000 0.0000 0.0000
0.0000 0.0000 0.5000
0.3333 0.6667 0.2500
0.6667 0.3333 0.7500
0.3333 0.6667 0.7500
0.6667 0.3333 0.2500
0.0023 0.3484 0.6263
0.0023 0.6540 0.8737
0.3460 0.3484 0.8737
0.3460 0.9977 0.6263
0.3484 0.0023 0.1263
0.3484 0.3460 0.3737
0.6516 0.6540 0.6263
0.6516 0.9977 0.8737
0.6540 0.0023 0.3737
0.6540 0.6516 0.1263
0.9977 0.3460 0.1263
0.9977 0.6516 0.3737
```

=====

Entry 12:
Diffraction record for NiPtRhO4. The PXRD pattern is calculated, not measured: it uses the PBE+U geometry in Alexandria and Cu Ka.
Kinematic intensities with the Lorentz-polarization factor, no thermal factor.

Largest 10 diffraction maxima, sorted by position, 2θ = 10–90°:
2theta	I (rel.)
23.47	28
23.75	37
31.58	100
32.20	58
35.58	89
44.29	21
48.60	26
57.02	21
58.99	29
72.09	19

Structure:
```
NiPtRhO4
1.0
2.7796 -4.9399 0.0000
2.7796 4.9399 0.0000
0.0000 0.0000 5.9103
Ni Pt Rh O
2 2 2 8
direct
0.1723 0.8277 0.7500
0.8277 0.1723 0.2500
0.1544 0.8456 0.2500
0.8456 0.1544 0.7500
0.5000 0.5000 0.0000
0.5000 0.5000 0.5000
0.2301 0.2472 0.2500
0.2472 0.2301 0.7500
0.2982 0.7018 0.0024
0.2982 0.7018 0.4976
0.7018 0.2982 0.5024
0.7018 0.2982 0.9976
0.7528 0.7699 0.2500
0.7699 0.7528 0.7500
```